# 1
Sc3Tc: calculated PXRD pattern (copper Kα), based on a crystal structure in the Materials Project, relaxed with PBE.
Intensities are scaled so that the largest is 100.

Atomic structure:
```
data_Sc3Tc
_chemical_formula_sum 'Sc6 Tc2'
_symmetry_space_group_name_H-M 'P 63/m m c'
_symmetry_Int_Tables_number 194
_symmetry_space_group_name_Hall '-P 6c 2c'
_cell_length_a 6.2523
_cell_length_b 6.2523
_cell_length_c 4.7795
_cell_angle_alpha 90.00
_cell_angle_beta 90.00
_cell_angle_gamma 120.00
loop_
_atom_site_label
_atom_site_fract_x
_atom_site_fract_y
_atom_site_fract_z
Sc1 0.1718 0.3436 0.2500
Tc1 0.3333 0.6667 0.7500
```

Peak list (8 most intense, 5 to 70 degrees two-theta, sorted by position)
h k l  Position (°2θ)  I/Imax
1 0 0  16.37  11
1 0 1  24.85  16
2 0 0  33.09  25
0 0 2  37.64  23
2 0 1  38.21  100
2 0 2  50.97  14
2 2 0  59.10  17
2 0 3  68.31  16

# 2
NaCaTiBiO6: calculated PXRD pattern (copper Kα), based on a crystal structure in the Materials Project, relaxed with PBE.
Intensities are scaled so that the largest is 100.

Atomic structure:
```
data_NaCaTiBiO6
_chemical_formula_sum 'Na4 Ca4 Ti4 Bi4 O24'
_symmetry_space_group_name_H-M 'F -4 3 m'
_symmetry_Int_Tables_number 216
_symmetry_space_group_name_Hall 'F -4 2 3'
_cell_length_a 8.076
_cell_length_b 8.076
_cell_length_c 8.076
_cell_angle_alpha 90.00
_cell_angle_beta 90.00
_cell_angle_gamma 90.00
loop_
_atom_site_label
_atom_site_fract_x
_atom_site_fract_y
_atom_site_fract_z
Na1 0.000 0.000 0.000
Ca1 0.000 0.000 0.500
Ti1 0.250 0.250 0.750
Bi1 0.250 0.250 0.250
O1 0.009 0.250 0.750
```

Peak list (8 most intense, 5 to 70 degrees two-theta, sorted by position)
h k l  Position (°2θ)  I/Imax
1 1 1  19.03  61
2 0 0  22.01  71
2 2 0  31.33  100
3 1 1  36.91  41
4 0 0  44.89  38
4 2 0  50.54  31
4 2 2  55.76  40
4 4 0  65.37  22

# 3
Mg2H4Ru: calculated PXRD pattern (copper Kα), based on a crystal structure in the Materials Project, relaxed with PBE.
Intensities are scaled so that the largest is 100.

Atomic structure:
```
data_Mg2H4Ru
_chemical_formula_sum 'Mg8 H16 Ru4'
_symmetry_space_group_name_H-M 'C m c m'
_symmetry_Int_Tables_number 63
_symmetry_space_group_name_Hall '-C 2c 2'
_cell_length_a 6.999
_cell_length_b 8.450
_cell_length_c 4.816
_cell_angle_alpha 90.00
_cell_angle_beta 90.00
_cell_angle_gamma 90.00
loop_
_atom_site_label
_atom_site_fract_x
_atom_site_fract_y
_atom_site_fract_z
Mg1 0.211 0.141 0.250
H1 0.000 0.278 0.515
H2 0.242 0.112 0.750
Ru1 0.000 0.132 0.750
```

Peak list (8 most intense, 5 to 70 degrees two-theta, sorted by position)
h k l  Position (°2θ)  I/Imax
1 1 0  16.45  100
1 1 1  24.79  55
1 3 0  34.32  22
0 0 2  37.34  25
2 2 1  38.27  81
1 1 2  41.05  19
3 1 1  44.46  27
2 2 3  67.95  18